Computed powder diffractogram
Compound: FeAgRu
Radiation: Cu Ka
Structure: a structure optimized by DFT (GGA-PBE)
Peak positions follow from Bragg's law for the DFT cell and can differ from measured ones.

Largest 10 diffraction maxima, in order of rising 2θ, 15° ≤ 2θ ≤ 90°:
31.16°, d = 2.870 Å, rel. 10
33.49°, d = 2.676 Å, rel. 10
40.38°, d = 2.234 Å, rel. 100
46.69°, d = 1.945 Å, rel. 35
47.52°, d = 1.913 Å, rel. 12
66.35°, d = 1.409 Å, rel. 8
68.17°, d = 1.376 Å, rel. 11
68.82°, d = 1.364 Å, rel. 15
82.31°, d = 1.171 Å, rel. 23
87.29°, d = 1.117 Å, rel. 8

Structure:
```
FeAgRu
1.0
-1.3757 1.3757 5.7404
1.3757 -1.3757 5.7404
1.3757 1.3757 -5.7404
Fe Ag Ru
1 1 1
Direct
0.0000 0.0000 0.0000
0.3233 0.3233 0.0000
0.6322 0.6322 0.0000
```


Computed powder diffractogram
Compound: Tb3Er5Tm2
Radiation: Cu Ka
Structure: a structure optimized by DFT (GGA-PBE)
Peak positions follow from Bragg's law for the DFT cell and can differ from measured ones.

Largest 10 diffraction maxima, in order of rising 2θ, 15° ≤ 2θ ≤ 90°:
30.81°, d = 2.902 Å, rel. 100
30.92°, d = 2.892 Å, rel. 34
32.65°, d = 2.742 Å, rel. 15
33.95°, d = 2.641 Å, rel. 32
38.66°, d = 2.329 Å, rel. 12
38.90°, d = 2.315 Å, rel. 12
49.88°, d = 1.828 Å, rel. 13
58.80°, d = 1.570 Å, rel. 16
58.93°, d = 1.567 Å, rel. 12
67.20°, d = 1.393 Å, rel. 12

Structure:
```
Tb3Er5Tm2
1.0
5.2811 -7.7855 0.0000
5.2811 7.7855 0.0000
-5.2629 0.0000 7.7279
Tb Er Tm
6 10 4
Direct
0.0221 0.2671 0.0456
0.2329 0.7671 0.7500
0.2671 0.0221 0.5456
0.7329 0.9779 0.4544
0.7671 0.2329 0.2500
0.9779 0.7329 0.9544
0.0279 0.9721 0.7500
0.1469 0.3707 0.7655
0.2707 0.7293 0.2500
0.3707 0.1469 0.2655
0.4701 0.5299 0.2500
0.5299 0.4701 0.7500
0.6293 0.8531 0.7345
0.7293 0.2707 0.7500
0.8531 0.6293 0.2345
0.9721 0.0279 0.2500
0.2290 0.4662 0.4518
0.4662 0.2290 0.9518
0.5338 0.7710 0.0482
0.7710 0.5338 0.5482
```


Computed powder diffractogram
Compound: BeGePd
Radiation: Cu Ka
Structure: a structure optimized by DFT (GGA-PBE)
Peak positions follow from Bragg's law for the DFT cell and can differ from measured ones.

Largest 10 diffraction maxima, in order of rising 2θ, 15° ≤ 2θ ≤ 90°:
25.19°, d = 3.535 Å, rel. 86
31.37°, d = 2.851 Å, rel. 98
43.03°, d = 2.102 Å, rel. 33
45.34°, d = 2.000 Å, rel. 100
47.01°, d = 1.933 Å, rel. 45
54.21°, d = 1.692 Å, rel. 41
58.22°, d = 1.585 Å, rel. 13
68.42°, d = 1.371 Å, rel. 15
77.97°, d = 1.225 Å, rel. 20
80.51°, d = 1.193 Å, rel. 18

Structure:
```
BeGePd
1.0
-1.5846 2.1020 3.2649
1.5846 -2.1020 3.2649
1.5846 2.1020 -3.2649
Be Ge Pd
1 1 1
Direct
0.0000 0.0000 0.0000
0.5958 0.5958 0.0000
0.2946 0.7946 0.5000
```


> What is the formula in the third record?

BeGePd